# 1
Starting from DFT lattice parameters and positions (GGA-PBE), the powder XRD pattern of BeAsPd was calculated for Cu Kα, 1.54184 Å.

Crystal structure
a b c (Å): 10.961 2.908 2.908
angles (deg): 66.67 90.00 90.00
Positions (direct):
Be (0.148, 0.000, 0.000)
Be (0.852, 0.000, 0.000)
As (0.310, 0.645, 0.645)
As (0.690, 0.645, 0.645)
Pd (0.000, 0.357, 0.357)
Pd (0.500, 0.311, 0.311)

Most intense lines, 2θ from 5° to 70°, sorted by position:
5.481 Å, rel. 27
2.670 Å, rel. 35
2.400 Å, rel. 100
2.221 Å, rel. 46
2.156 Å, rel. 30
1.912 Å, rel. 31

***

# 2
Starting from DFT lattice parameters and positions (GGA-PBE), the powder XRD pattern of Sr2BeAsPd6 was calculated for Cu Kα, 1.54184 Å.

Crystal structure
a b c (Å): 6.254 6.270 6.826
angles (deg): 63.05 62.81 60.12
Positions (direct):
Sr (0.224, 0.225, 0.328)
Sr (0.776, 0.775, 0.672)
Be (0.000, 0.000, 0.000)
As (0.500, 0.500, 0.500)
Pd (0.240, 0.691, 0.828)
Pd (0.241, 0.238, 0.825)
Pd (0.306, 0.762, 0.174)
Pd (0.694, 0.238, 0.826)
Pd (0.759, 0.762, 0.175)
Pd (0.760, 0.309, 0.172)

Most intense lines, 2θ from 5° to 70°, sorted by position:
2.935 Å, rel. 19
2.753 Å, rel. 25
2.600 Å, rel. 41
2.586 Å, rel. 82
2.303 Å, rel. 100
1.568 Å, rel. 26

***

# 3
Starting from DFT lattice parameters and positions (GGA-PBE), the powder XRD pattern of BeAsPt2 was calculated for Cu Kα, 1.54184 Å.

Crystal structure
a b c (Å): 4.341 4.341 5.125
angles (deg): 103.20 103.20 38.48
Positions (direct):
Be (0.000, 0.000, 0.000)
As (0.500, 0.500, 0.500)
Pt (0.276, 0.276, 0.772)
Pt (0.724, 0.724, 0.228)

Most intense lines, 2θ from 5° to 70°, sorted by position:
3.977 Å, rel. 81
2.794 Å, rel. 25
2.453 Å, rel. 54
2.383 Å, rel. 60
2.290 Å, rel. 100
1.931 Å, rel. 59

***

> Number 3 is which compound?

BeAsPt2

***

Repeat the third record exactly.
Starting from DFT lattice parameters and positions (GGA-PBE), the powder XRD pattern of BeAsPt2 was calculated for Cu Kα, 1.54184 Å.

Crystal structure
a b c (Å): 4.341 4.341 5.125
angles (deg): 103.20 103.20 38.48
Positions (direct):
Be (0.000, 0.000, 0.000)
As (0.500, 0.500, 0.500)
Pt (0.276, 0.276, 0.772)
Pt (0.724, 0.724, 0.228)

Most intense lines, 2θ from 5° to 70°, sorted by position:
3.977 Å, rel. 81
2.794 Å, rel. 25
2.453 Å, rel. 54
2.383 Å, rel. 60
2.290 Å, rel. 100
1.931 Å, rel. 59